No. 1
Computed powder X-ray diffraction pattern
Compound: RbH3O
Radiation: copper Kα
Structure: a structure optimized by DFT (PBE)
No peak broadening, texture or thermal motion is included.

Cell and atoms:
abc: 3.6499 3.6499 14.4825
angles: 90.00 90.00 120.00
Space group R3m (No. 160, hexagonal axes)
One atom of each set of equivalent atoms:
Rb 0.0000 0.0000 0.0000 (multiplicity 3)
H 0.2103 0.1052 0.1677 (multiplicity 9)
O 0.0000 0.0000 0.8076 (multiplicity 3)

Peak list (12 most intense, 2θ from 10° to 80°, sorted by position)
2θ/deg  I_rel  index
18.38  46  0 0 3
28.91  100  1 0 1
30.87  48  0 1 2
37.25  19  0 0 6
37.78  41  1 0 4
42.32  40  0 1 5
49.98  24  1 1 0
52.89  12  1 0 7
53.69  20  1 1 3
58.77  19  0 2 1
63.95  20  1 1 6
79.39  10  1 1 9



No. 2
Computed powder X-ray diffraction pattern
Compound: LiAlTl2Cl6
Radiation: copper Kα
Structure: a structure optimized by DFT (PBE)
No peak broadening, texture or thermal motion is included.

Cell and atoms:
abc: 7.0373 7.0373 6.1559
angles: 90.00 90.00 120.00
Space group P-3m1 (No. 164)
One atom of each set of equivalent atoms:
Li 0.0000 0.0000 0.0000 (multiplicity 1)
Al 0.0000 0.0000 0.5000 (multiplicity 1)
Tl 0.3333 0.6667 0.3142 (multiplicity 2)
Cl 0.1556 0.3112 0.7244 (multiplicity 6)

Peak list (12 most intense, 2θ from 10° to 80°, sorted by position)
2θ/deg  I_rel  index
14.39  22  0 0 1
14.53  14  1 0 0
20.51  88  0 1 1
25.31  49  1 1 0
29.01  18  0 0 2
29.28  35  2 0 0
32.59  27  1 0 2
32.79  100  2 0 1
41.71  33  0 2 2
41.87  25  1 2 1
49.42  20  2 1 2
51.98  21  2 2 0



No. 3
Computed powder X-ray diffraction pattern
Compound: Hf2Ge2Ir
Radiation: copper Kα
Structure: a structure optimized by DFT (PBE)
No peak broadening, texture or thermal motion is included.

Cell and atoms:
abc: 3.861 5.571 8.146
angles: 90.00 90.00 90.00
Space group Immm (No. 71)
One atom of each set of equivalent atoms:
Hf 0.000 0.000 0.209 (multiplicity 4)
Ge 0.000 0.277 0.500 (multiplicity 4)
Ir 0.000 0.500 0.000 (multiplicity 2)

Peak list (12 most intense, 2θ from 10° to 80°, sorted by position)
2θ/deg  I_rel  index
32.13  19  0 2 0
35.87  100  1 1 2
36.82  29  0 1 3
39.18  10  0 2 2
41.48  44  1 2 1
44.49  14  0 0 4
47.07  21  2 0 0
59.74  15  1 3 2
60.39  11  0 3 3
61.21  13  2 1 3
71.38  24  1 2 5
79.90  10  2 3 3



No. 4
Computed powder X-ray diffraction pattern
Compound: Ca3In2Au7
Radiation: copper Kα
Structure: a structure optimized by DFT (PBE)
No peak broadening, texture or thermal motion is included.

Cell and atoms:
abc: 4.233 4.233 30.708
angles: 90.00 90.00 90.00
Space group I4/mmm (No. 139)
One atom of each set of equivalent atoms:
Ca 0.000 0.000 0.000 (multiplicity 2)
Ca 0.000 0.000 0.182 (multiplicity 4)
In 0.000 0.000 0.368 (multiplicity 4)
Au 0.000 0.000 0.278 (multiplicity 4)
Au 0.000 0.000 0.500 (multiplicity 2)
Au 0.000 0.500 0.072 (multiplicity 8)

Peak list (12 most intense, 2θ from 10° to 80°, sorted by position)
2θ/deg  I_rel  index
17.33  39  0 0 6
21.19  39  1 0 1
30.43  66  1 1 2
32.10  30  1 1 4
33.74  52  1 0 9
34.72  79  1 1 6
38.13  100  1 1 8
41.15  29  0 0 14
42.72  84  2 0 0
60.82  37  2 0 14
62.01  28  2 2 0
75.14  51  1 1 22



No. 5
Computed powder X-ray diffraction pattern
Compound: PuSi2Tc4
Radiation: copper Kα
Structure: a structure optimized by DFT (PBE)
No peak broadening, texture or thermal motion is included.

Cell and atoms:
abc: 4.099 13.894 4.032
angles: 90.00 90.00 90.00
Space group Cmmm (No. 65)
One atom of each set of equivalent atoms:
Pu 0.000 0.000 0.000 (multiplicity 2)
Si 0.000 0.413 0.500 (multiplicity 4)
Tc 0.000 0.186 0.500 (multiplicity 4)
Tc 0.000 0.306 0.000 (multiplicity 4)

Peak list (12 most intense, 2θ from 10° to 80°, sorted by position)
2θ/deg  I_rel  index
22.62  18  1 1 0
25.55  13  0 2 1
29.09  13  1 3 0
34.07  17  0 4 1
36.80  100  1 3 1
38.89  11  0 6 0
44.19  20  2 0 0
44.97  19  0 0 2
56.33  12  1 7 1
64.88  13  2 0 2
76.42  12  3 3 1
77.55  11  1 3 3



No. 6
Computed powder X-ray diffraction pattern
Compound: CdGa11
Radiation: copper Kα
Structure: a structure optimized by DFT (PBE)
No peak broadening, texture or thermal motion is included.

Cell and atoms:
abc: 10.779 10.779 8.275
angles: 90.00 90.00 90.00
Space group I4_1/amd (No. 141, origin choice 2)
One atom of each set of equivalent atoms:
Cd 0.000 0.250 0.375 (multiplicity 4)
Ga 0.000 0.000 0.000 (multiplicity 8)
Ga 0.000 0.250 0.875 (multiplicity 4)
Ga 0.121 0.050 0.656 (multiplicity 32)

Peak list (12 most intense, 2θ from 10° to 80°, sorted by position)
2θ/deg  I_rel  index
31.83  29  3 2 1
33.54  28  1 0 3
34.08  100  3 1 2
37.31  44  4 2 0
37.57  22  2 1 3
43.39  68  5 0 1
46.69  10  5 2 1
50.18  10  2 2 4
58.83  16  4 2 4
65.23  25  5 5 2
71.76  9  6 2 4
79.54  11  8 4 0